Structure and computed PXRD pattern of LiFe5O8 (the GGA+U geometry in Alexandria; Cu Kα (weighted mean of Kα1 and Kα2)).

Top 10 peaks for 15 to 90 degrees two-theta, by angle:
hkl 0 0 3, 18.6°, I 23
hkl 1 0 4, 30.6°, I 43
hkl 0 2 1, 36.0°, I 100
hkl 0 2 4, 43.8°, I 16
hkl 2 1 4, 54.3°, I 13
hkl 1 2 5, 57.9°, I 18
hkl 0 2 7, 58.0°, I 16
hkl 2 2 0, 63.5°, I 22
hkl 2 0 8, 63.7°, I 20
hkl 4 0 1, 75.3°, I 9

Cell and atoms:
abc: 5.8570 5.8570 14.2973
angles: 90.00 90.00 120.00
Space group R-3m (No. 166, hexagonal axes)
Symmetry-distinct sites (fractional):
Li 0.0000 0.0000 0.0000 (multiplicity 3)
Fe 0.0000 0.0000 0.3823 (multiplicity 6)
Fe 0.0000 0.5000 0.5000 (multiplicity 9)
O 0.0000 0.0000 0.2439 (multiplicity 6)
O 0.0211 0.5105 0.7584 (multiplicity 18)